Structure and theoretical PXRD pattern of Ba3SrMgNb2O9 (the GGA-PBE geometry in the Materials Project; Cu Kα (weighted mean of Kα1 and Kα2)).
Intensities are scaled so that the largest is 100.

Peak list (10 most intense, 15 to 90 degrees two-theta, in order of rising 2θ)
index, d_spacing, Position (°2θ), I (rel.)
0 1 2, 3.537, 25.18, 74
1 1 0, 2.974, 30.05, 100
0 1 3, 2.744, 32.63, 53
2 0 2, 2.276, 39.59, 41
2 0 3, 2.017, 44.94, 39
1 2 2, 1.808, 50.49, 20
3 0 0, 1.717, 53.35, 20
1 2 3, 1.669, 55.01, 26
2 2 0, 1.487, 62.45, 19
0 2 6, 1.371, 68.41, 15

Cell and atoms:
Unit cell a=5.9482 b=5.9482 c=9.7293 alpha=90.00 beta=90.00 gamma=120.00
Fractional coordinates of all 16 atoms:
Ba 0.0000 0.0000 0.0000
Ba 0.3333 0.6667 0.4577
Ba 0.6667 0.3333 0.2462
Sr 0.6667 0.3333 0.8121
Mg 0.0000 0.0000 0.6209
Nb 0.0000 0.0000 0.3487
Nb 0.3333 0.6667 0.0790
O 0.0092 0.5046 0.9838
O 0.1681 0.3361 0.2249
O 0.1681 0.8319 0.2249
O 0.3042 0.1521 0.4717
O 0.4954 0.5046 0.9838
O 0.4954 0.9908 0.9838
O 0.6639 0.8319 0.2249
O 0.8479 0.1521 0.4717
O 0.8479 0.6958 0.4717